Computed powder XRD pattern
Compound: NaCa4P2
Radiation: Cu Kα, 1.54184 Å
Structure: a crystal structure in Alexandria, relaxed with PBE
Lines closer than 0.1° are merged.

Cell and atoms:
Unit cell a=11.9112 b=11.9112 c=11.9112 alpha=22.12 beta=22.12 gamma=22.12
Fractional positions:
Na 0.0000 0.0000 0.0000
Ca 0.1968 0.1968 0.1968
Ca 0.4007 0.4007 0.4007
Ca 0.5993 0.5993 0.5993
Ca 0.8032 0.8032 0.8032
P 0.1061 0.1061 0.1061
P 0.8939 0.8939 0.8939

The 10 most intense peaks (2θ = 5–70°), by angle:
- 2θ 7.6, I 51.9
- 2θ 15.3, I 12.1
- 2θ 24.7, I 25.3
- 2θ 25.9, I 60.8
- 2θ 34.3, I 100.0
- 2θ 39.4, I 69.1
- 2θ 53.2, I 25.3
- 2θ 56.5, I 12.7
- 2θ 57.8, I 16.6
- 2θ 68.2, I 22.5

Computed powder XRD pattern
Compound: Na5CaP2
Radiation: Cu Kα, 1.54184 Å
Structure: a crystal structure in Alexandria, relaxed with PBE
Lines closer than 0.1° are merged.

Cell and atoms:
Unit cell a=5.2722 b=5.2722 c=18.4643 alpha=90.00 beta=90.00 gamma=120.00
Fractional positions:
Na 0.0000 0.0000 0.1180
Na 0.0000 0.0000 0.3820
Na 0.0000 0.0000 0.6180
Na 0.0000 0.0000 0.8820
Na 0.3333 0.6667 0.0513
Na 0.3333 0.6667 0.2500
Na 0.3333 0.6667 0.4487
Na 0.6667 0.3333 0.5513
Na 0.6667 0.3333 0.7500
Na 0.6667 0.3333 0.9487
Ca 0.3333 0.6667 0.7500
Ca 0.6667 0.3333 0.2500
P 0.3333 0.6667 0.6050
P 0.3333 0.6667 0.8950
P 0.6667 0.3333 0.1050
P 0.6667 0.3333 0.3950

The 10 most intense peaks (2θ = 5–70°), by angle:
- 2θ 19.4, I 14.6
- 2θ 20.0, I 21.5
- 2θ 27.5, I 26.0
- 2θ 29.0, I 19.7
- 2θ 34.0, I 100.0
- 2θ 39.4, I 26.7
- 2θ 45.3, I 31.7
- 2θ 53.1, I 11.5
- 2θ 60.9, I 16.1
- 2θ 64.5, I 11.0

Computed powder XRD pattern
Compound: Na4Ca2SnP4
Radiation: Cu Kα, 1.54184 Å
Structure: a crystal structure in Alexandria, relaxed with PBE
Lines closer than 0.1° are merged.

Cell and atoms:
Unit cell a=9.4411 b=9.4411 c=7.1168 alpha=91.33 beta=91.33 gamma=120.04
Fractional positions:
Na 0.0736 0.9264 0.5000
Na 0.3171 0.8559 0.1995
Na 0.4983 0.6516 0.0554
Na 0.6474 0.9373 0.5275
Na 0.6516 0.4983 0.5554
Na 0.8559 0.3171 0.6995
Na 0.9264 0.0736 0.0000
Na 0.9373 0.6474 0.0275
Ca 0.2551 0.3088 0.6984
Ca 0.2582 0.7292 0.7094
Ca 0.3088 0.2551 0.1984
Ca 0.7292 0.2582 0.2094
Sn 0.1266 0.4609 0.3190
Sn 0.4609 0.1266 0.8190
P 0.1326 0.4547 0.9619
P 0.1623 0.9794 0.9091
P 0.4138 0.5927 0.4611
P 0.4547 0.1326 0.4619
P 0.5927 0.4138 0.9611
P 0.5935 0.9711 0.9330
P 0.9711 0.5935 0.4330
P 0.9794 0.1623 0.4091

The 10 most intense peaks (2θ = 5–70°), by angle:
- 2θ 10.8, I 100.0
- 2θ 16.2, I 36.4
- 2θ 16.5, I 23.8
- 2θ 16.9, I 19.4
- 2θ 18.8, I 22.2
- 2θ 31.1, I 24.9
- 2θ 31.9, I 23.7
- 2θ 32.2, I 17.8
- 2θ 34.1, I 17.3
- 2θ 38.2, I 70.7

Computed powder XRD pattern
Compound: Na7CaPb5
Radiation: Cu Kα, 1.54184 Å
Structure: a crystal structure in Alexandria, relaxed with PBE
Lines closer than 0.1° are merged.

Cell and atoms:
Unit cell a=8.5684 b=8.5684 c=8.5684 alpha=132.56 beta=99.06 gamma=99.57
Fractional positions:
Na 0.0000 0.0000 0.0000
Na 0.0537 0.5537 0.5000
Na 0.1139 0.8037 0.3103
Na 0.3273 0.3273 0.0000
Na 0.4934 0.8037 0.6897
Na 0.6151 0.2877 0.3274
Na 0.9603 0.2877 0.6726
Ca 0.6502 0.6502 0.0000
Pb 0.2957 0.3080 0.5157
Pb 0.2957 0.7800 0.9877
Pb 0.5400 0.0400 0.5000
Pb 0.7923 0.3080 0.0123
Pb 0.7923 0.7800 0.4843

The 10 most intense peaks (2θ = 5–70°), by angle:
- 2θ 11.3, I 14.9
- 2θ 16.0, I 100.0
- 2θ 22.1, I 13.6
- 2θ 22.7, I 19.7
- 2θ 30.5, I 56.7
- 2θ 32.2, I 19.8
- 2θ 32.4, I 19.9
- 2θ 34.6, I 63.4
- 2θ 36.2, I 26.5
- 2θ 45.0, I 31.3

Computed powder XRD pattern
Compound: Na12CaPb4
Radiation: Cu Kα, 1.54184 Å
Structure: a crystal structure in Alexandria, relaxed with PBE
Lines closer than 0.1° are merged.

Cell and atoms:
Unit cell a=9.6279 b=9.6279 c=9.6279 alpha=109.47 beta=109.47 gamma=109.47
Fractional positions:
Na 0.1603 0.3297 0.8306
Na 0.1694 0.4991 0.3297
Na 0.1694 0.8397 0.6703
Na 0.3297 0.1694 0.4991
Na 0.3297 0.8306 0.1603
Na 0.4991 0.3297 0.1694
Na 0.5009 0.6703 0.8306
Na 0.6703 0.1694 0.8397
Na 0.6703 0.8306 0.5009
Na 0.8306 0.1603 0.3297
Na 0.8306 0.5009 0.6703
Na 0.8397 0.6703 0.1694
Ca 0.0000 0.0000 0.0000
Pb 0.0000 0.0000 0.5000
Pb 0.0000 0.5000 0.0000
Pb 0.5000 0.0000 0.0000
Pb 0.5000 0.5000 0.5000

The 10 most intense peaks (2θ = 5–70°), by angle:
- 2θ 15.9, I 100.0
- 2θ 22.6, I 91.3
- 2θ 27.8, I 28.7
- 2θ 32.2, I 23.9
- 2θ 36.1, I 66.7
- 2θ 39.7, I 62.4
- 2θ 49.2, I 22.8
- 2θ 52.0, I 24.2
- 2θ 54.8, I 20.8
- 2θ 62.5, I 24.4

Computed powder XRD pattern
Compound: Na2CaPb6
Radiation: Cu Kα, 1.54184 Å
Structure: a crystal structure in Alexandria, relaxed with PBE
Lines closer than 0.1° are merged.

Cell and atoms:
Unit cell a=9.4341 b=9.4341 c=6.6994 alpha=101.85 beta=101.85 gamma=78.83
Fractional positions:
Na 0.1782 0.2096 0.3940
Na 0.2096 0.1782 0.8940
Na 0.7904 0.8218 0.1060
Na 0.8218 0.7904 0.6060
Ca 0.3966 0.6034 0.2500
Ca 0.6034 0.3966 0.7500
Pb 0.0639 0.5511 0.2623
Pb 0.1283 0.8416 0.9878
Pb 0.1584 0.8717 0.5122
Pb 0.2483 0.5134 0.7319
Pb 0.4489 0.9361 0.2377
Pb 0.4866 0.7517 0.7681
Pb 0.5134 0.2483 0.2319
Pb 0.5511 0.0639 0.7623
Pb 0.7517 0.4866 0.2681
Pb 0.8416 0.1283 0.4878
Pb 0.8717 0.1584 0.0122
Pb 0.9361 0.4489 0.7377

The 10 most intense peaks (2θ = 5–70°), by angle:
- 2θ 14.8, I 100.0
- 2θ 20.4, I 52.9
- 2θ 27.7, I 68.9
- 2θ 29.4, I 71.9
- 2θ 30.3, I 52.6
- 2θ 32.1, I 96.1
- 2θ 32.5, I 80.8
- 2θ 35.0, I 59.1
- 2θ 35.5, I 44.1
- 2θ 44.5, I 38.8

Computed powder XRD pattern
Compound: Na2CaTl2Pb2
Radiation: Cu Kα, 1.54184 Å
Structure: a crystal structure in Alexandria, relaxed with PBE
Lines closer than 0.1° are merged.

Cell and atoms:
Unit cell a=8.8632 b=8.8632 c=8.8632 alpha=35.21 beta=35.21 gamma=35.21
Fractional positions:
Na 0.1461 0.1461 0.1461
Na 0.8539 0.8539 0.8539
Ca 0.0000 0.0000 0.0000
Tl 0.2845 0.2845 0.2845
Tl 0.7155 0.7155 0.7155
Pb 0.4271 0.4271 0.4271
Pb 0.5729 0.5729 0.5729

The 10 most intense peaks (2θ = 5–70°), by angle:
- 2θ 19.4, I 57.1
- 2θ 21.4, I 17.4
- 2θ 31.7, I 100.0
- 2θ 33.4, I 87.2
- 2θ 40.0, I 22.2
- 2θ 46.7, I 34.5
- 2θ 55.3, I 21.7
- 2θ 58.7, I 35.2
- 2θ 59.8, I 16.7
- 2θ 66.2, I 15.6

Computed powder XRD pattern
Compound: NaCa4Pd
Radiation: Cu Kα, 1.54184 Å
Structure: a crystal structure in Alexandria, relaxed with PBE
Lines closer than 0.1° are merged.

Cell and atoms:
Unit cell a=8.3352 b=8.3352 c=6.6615 alpha=100.10 beta=100.10 gamma=109.07
Fractional positions:
Na 0.1183 0.8817 0.7500
Na 0.8817 0.1183 0.2500
Ca 0.1486 0.3219 0.8828
Ca 0.2313 0.5627 0.4489
Ca 0.3219 0.1486 0.3828
Ca 0.4373 0.7687 0.0511
Ca 0.5627 0.2313 0.9489
Ca 0.6781 0.8514 0.6172
Ca 0.7687 0.4373 0.5511
Ca 0.8514 0.6781 0.1172
Pd 0.4994 0.5006 0.7500
Pd 0.5006 0.4994 0.2500

The 10 most intense peaks (2θ = 5–70°), by angle:
- 2θ 11.6, I 100.0
- 2θ 13.0, I 32.0
- 2θ 28.9, I 17.2
- 2θ 30.2, I 18.4
- 2θ 31.1, I 13.2
- 2θ 31.8, I 15.1
- 2θ 33.2, I 12.9
- 2θ 33.4, I 25.4
- 2θ 34.4, I 14.5
- 2θ 34.6, I 15.7